[1]
Diffraction record for Bi2O3. The powder XRD pattern is simulated, not measured: it uses DFT lattice parameters and positions (PBE) and a wavelength of 1.5418 Å.

Structural model:
abc: 7.8570 7.8570 6.1316
angles: 90.00 90.00 120.00
Sites, in units of the cell vectors:
Bi: 0.1455 0.8016 0.0000
Bi: 0.1984 0.3439 0.0000
Bi: 0.3333 0.6667 0.4963
Bi: 0.3439 0.1984 0.5000
Bi: 0.6561 0.8545 0.0000
Bi: 0.6667 0.3333 0.9963
Bi: 0.8016 0.1455 0.5000
Bi: 0.8545 0.6561 0.5000
O: 0.0758 0.5791 0.7003
O: 0.1177 0.2542 0.3786
O: 0.1366 0.8823 0.3786
O: 0.2542 0.1177 0.8786
O: 0.4209 0.4967 0.7003
O: 0.4967 0.4209 0.2003
O: 0.5033 0.9242 0.7003
O: 0.5791 0.0758 0.2003
O: 0.7458 0.8634 0.3786
O: 0.8634 0.7458 0.8786
O: 0.8823 0.1366 0.8786
O: 0.9242 0.5033 0.2003

Largest 10 diffraction maxima, by angle, 2θ = 10–80°:
- 26.19°, I = 22.6
- 29.13°, I = 24.9
- 30.04°, I = 100.0
- 39.57°, I = 20.1
- 46.22°, I = 21.5
- 52.21°, I = 25.3
- 55.57°, I = 23.0
- 56.11°, I = 15.6
- 75.55°, I = 11.6
- 79.28°, I = 8.5

***

[2]
Diffraction record for Bi2O3. The powder XRD pattern is simulated, not measured: it uses DFT lattice parameters and positions (PBE) and a wavelength of 1.5418 Å.

Structural model:
abc: 5.5105 5.5105 5.7171
angles: 90.00 90.00 90.00
Sites, in units of the cell vectors:
Bi: 0.2367 0.2367 0.0000
Bi: 0.2367 0.7633 0.5000
Bi: 0.7633 0.2367 0.5000
Bi: 0.7633 0.7633 0.0000
O: 0.0000 0.0000 0.2500
O: 0.0000 0.0000 0.7500
O: 0.0000 0.5000 0.2500
O: 0.0000 0.5000 0.7500
O: 0.5000 0.0000 0.2500
O: 0.5000 0.0000 0.7500

Largest 10 diffraction maxima, by angle, 2θ = 10–80°:
- 27.71°, I = 100.0
- 31.29°, I = 14.3
- 32.50°, I = 25.2
- 45.74°, I = 32.3
- 46.62°, I = 14.9
- 53.53°, I = 16.9
- 55.10°, I = 29.4
- 57.22°, I = 10.8
- 73.66°, I = 12.8
- 74.99°, I = 5.8

***

[3]
Diffraction record for Bi6P2O15. The powder XRD pattern is simulated, not measured: it uses DFT lattice parameters and positions (PBE) and a wavelength of 1.5418 Å.

Structural model:
abc: 7.8987 7.8987 17.2987
angles: 102.20 102.20 41.15
Sites, in units of the cell vectors:
Bi: 0.0247 0.0247 0.4040
Bi: 0.0706 0.0735 0.9171
Bi: 0.1198 0.1753 0.2383
Bi: 0.3030 0.2685 0.6185
Bi: 0.3968 0.4003 0.9139
Bi: 0.4085 0.5144 0.2542
Bi: 0.4856 0.5915 0.7458
Bi: 0.5997 0.6032 0.0861
Bi: 0.7315 0.6970 0.3815
Bi: 0.8247 0.8802 0.7617
Bi: 0.9265 0.9294 0.0829
Bi: 0.9753 0.9753 0.5960
P: 0.3010 0.2744 0.0944
P: 0.4144 0.3010 0.4252
P: 0.6990 0.5856 0.5748
P: 0.7256 0.6990 0.9056
O: 0.0092 0.8438 0.2949
O: 0.1368 0.5314 0.1501
O: 0.1388 0.5706 0.4441
O: 0.1562 0.9908 0.7051
O: 0.1732 0.1886 0.0883
O: 0.1855 0.6291 0.6649
O: 0.2210 0.7254 0.8342
O: 0.2545 0.7455 0.0000
O: 0.2746 0.7790 0.1658
O: 0.3018 0.3230 0.0144
O: 0.3709 0.8145 0.3351
O: 0.3891 0.1944 0.7438
O: 0.4005 0.1590 0.3515
O: 0.4294 0.8612 0.5559
O: 0.4686 0.8632 0.8499
O: 0.5616 0.1262 0.4954
O: 0.5669 0.3380 0.4035
O: 0.5730 0.0645 0.1362
O: 0.6620 0.4331 0.5965
O: 0.6770 0.6982 0.9856
O: 0.6926 0.1099 0.6646
O: 0.7258 0.2107 0.8378
O: 0.7407 0.2593 0.0000
O: 0.7893 0.2742 0.1622
O: 0.8056 0.6109 0.2562
O: 0.8114 0.8268 0.9117
O: 0.8410 0.5995 0.6485
O: 0.8738 0.4384 0.5046
O: 0.8901 0.3074 0.3354
O: 0.9355 0.4270 0.8638

Largest 10 diffraction maxima, by angle, 2θ = 10–80°:
- 12.25°, I = 48.0
- 22.38°, I = 28.6
- 24.07°, I = 26.7
- 28.37°, I = 100.0
- 29.60°, I = 94.3
- 31.86°, I = 30.3
- 32.25°, I = 38.7
- 40.63°, I = 30.6
- 45.97°, I = 34.5
- 49.53°, I = 26.7

***

[4]
Diffraction record for Bi12PO20. The powder XRD pattern is simulated, not measured: it uses DFT lattice parameters and positions (PBE) and a wavelength of 1.5418 Å.

Structural model:
abc: 8.9426 8.9426 8.9426
angles: 109.47 109.47 109.47
Sites, in units of the cell vectors:
Bi: 0.1477 0.3009 0.8016
Bi: 0.1532 0.8523 0.6539
Bi: 0.1984 0.4993 0.3461
Bi: 0.3009 0.8016 0.1477
Bi: 0.3461 0.1984 0.4993
Bi: 0.4993 0.3461 0.1984
Bi: 0.5007 0.6991 0.8468
Bi: 0.6539 0.1532 0.8523
Bi: 0.6991 0.8468 0.5007
Bi: 0.8016 0.1477 0.3009
Bi: 0.8468 0.5007 0.6991
Bi: 0.8523 0.6539 0.1532
P: 0.0000 0.0000 0.0000
O: 0.0000 0.0000 0.1757
O: 0.0000 0.0000 0.5985
O: 0.0000 0.1757 0.0000
O: 0.0000 0.5985 0.0000
O: 0.1183 0.7582 0.3759
O: 0.1757 0.0000 0.0000
O: 0.2418 0.3601 0.6177
O: 0.2576 0.6399 0.8817
O: 0.3601 0.6177 0.2418
O: 0.3759 0.1183 0.7582
O: 0.3823 0.7424 0.6241
O: 0.4015 0.4015 0.4015
O: 0.5985 0.0000 0.0000
O: 0.6177 0.2418 0.3601
O: 0.6241 0.3823 0.7424
O: 0.6399 0.8817 0.2576
O: 0.7424 0.6241 0.3823
O: 0.7582 0.3759 0.1183
O: 0.8243 0.8243 0.8243
O: 0.8817 0.2576 0.6399

Largest 10 diffraction maxima, by angle, 2θ = 10–80°:
- 24.38°, I = 19.7
- 27.31°, I = 100.0
- 29.98°, I = 19.8
- 32.44°, I = 62.2
- 41.00°, I = 17.5
- 44.75°, I = 18.3
- 51.61°, I = 28.8
- 53.22°, I = 17.7
- 54.80°, I = 22.8
- 60.84°, I = 22.4

***

[5]
Diffraction record for BiP2O7. The powder XRD pattern is simulated, not measured: it uses DFT lattice parameters and positions (PBE) and a wavelength of 1.5418 Å.

Structural model:
abc: 6.9879 7.0046 7.4077
angles: 66.16 88.87 84.78
Sites, in units of the cell vectors:
Bi: 0.1715 0.1022 0.2703
Bi: 0.8285 0.8978 0.7297
P: 0.1140 0.6616 0.1545
P: 0.3410 0.7818 0.7649
P: 0.6590 0.2182 0.2351
P: 0.8860 0.3384 0.8455
O: 0.0794 0.2362 0.9540
O: 0.1096 0.4283 0.2799
O: 0.1624 0.9197 0.6405
O: 0.1801 0.7749 0.2772
O: 0.2722 0.6787 0.9875
O: 0.4192 0.6132 0.6979
O: 0.4993 0.9231 0.7623
O: 0.5007 0.0769 0.2377
O: 0.5808 0.3868 0.3021
O: 0.7278 0.3213 0.0125
O: 0.8199 0.2251 0.7228
O: 0.8376 0.0803 0.3595
O: 0.8904 0.5717 0.7201
O: 0.9206 0.7638 0.0460

Largest 10 diffraction maxima, by angle, 2θ = 10–80°:
- 12.72°, I = 54.5
- 13.88°, I = 76.6
- 14.73°, I = 100.0
- 18.10°, I = 60.3
- 18.45°, I = 48.8
- 25.61°, I = 73.0
- 26.31°, I = 60.1
- 28.08°, I = 29.3
- 28.63°, I = 44.5
- 29.08°, I = 40.5

***

[6]
Diffraction record for BiP2O7. The powder XRD pattern is simulated, not measured: it uses DFT lattice parameters and positions (PBE) and a wavelength of 1.5418 Å.

Structural model:
abc: 7.6393 8.8510 10.1822
angles: 90.00 110.57 90.00
Sites, in units of the cell vectors:
Bi: 0.2394 0.0056 0.2478
Bi: 0.2394 0.4944 0.7478
Bi: 0.7606 0.5056 0.2522
Bi: 0.7606 0.9944 0.7522
P: 0.1802 0.7048 0.4409
P: 0.1802 0.7952 0.9409
P: 0.4249 0.2450 0.5425
P: 0.4249 0.2550 0.0425
P: 0.5751 0.7450 0.9575
P: 0.5751 0.7550 0.4575
P: 0.8198 0.2048 0.0591
P: 0.8198 0.2952 0.5591
O: 0.0559 0.5914 0.3364
O: 0.0559 0.9086 0.8364
O: 0.1410 0.6276 0.8997
O: 0.1410 0.8724 0.3997
O: 0.1819 0.6909 0.5919
O: 0.1819 0.8091 0.0919
O: 0.3004 0.1406 0.0805
O: 0.3004 0.3594 0.5805
O: 0.3306 0.2110 0.3848
O: 0.3306 0.2890 0.8848
O: 0.3851 0.6626 0.4389
O: 0.3851 0.8374 0.9389
O: 0.4733 0.1039 0.6349
O: 0.4733 0.3961 0.1349
O: 0.5267 0.6039 0.8651
O: 0.5267 0.8961 0.3651
O: 0.6149 0.1626 0.0611
O: 0.6149 0.3374 0.5611
O: 0.6694 0.7110 0.1152
O: 0.6694 0.7890 0.6152
O: 0.6996 0.6406 0.4195
O: 0.6996 0.8594 0.9195
O: 0.8181 0.1909 0.9081
O: 0.8181 0.3091 0.4081
O: 0.8590 0.1276 0.6003
O: 0.8590 0.3724 0.1003
O: 0.9441 0.0914 0.1636
O: 0.9441 0.4086 0.6636

Largest 10 diffraction maxima, by angle, 2θ = 10–80°:
- 16.10°, I = 100.0
- 20.57°, I = 47.9
- 24.90°, I = 17.0
- 27.50°, I = 43.8
- 28.28°, I = 26.1
- 32.18°, I = 12.6
- 32.54°, I = 15.4
- 32.92°, I = 13.3
- 35.43°, I = 11.9
- 36.93°, I = 11.6

***

[7]
Diffraction record for Bi3P3O14. The powder XRD pattern is simulated, not measured: it uses DFT lattice parameters and positions (PBE) and a wavelength of 1.5418 Å.

Structural model:
abc: 7.1587 7.1587 6.4907
angles: 90.51 90.51 59.87
Sites, in units of the cell vectors:
Bi: 0.0000 0.0000 0.0000
Bi: 0.4890 0.0196 0.6639
Bi: 0.9804 0.5110 0.3361
P: 0.0422 0.9578 0.5000
P: 0.4924 0.0611 0.1681
P: 0.9389 0.5076 0.8319
O: 0.0886 0.7550 0.3717
O: 0.1261 0.3849 0.6749
O: 0.2450 0.9114 0.6283
O: 0.3413 0.2599 0.3045
O: 0.3651 0.0079 0.0053
O: 0.4388 0.5434 0.9064
O: 0.4566 0.5612 0.0936
O: 0.6151 0.8739 0.3251
O: 0.6486 0.1047 0.0399
O: 0.7401 0.6587 0.6955
O: 0.8594 0.0188 0.6600
O: 0.8953 0.3514 0.9601
O: 0.9812 0.1406 0.3400
O: 0.9921 0.6349 0.9947

Largest 10 diffraction maxima, by angle, 2θ = 10–80°:
- 14.30°, I = 58.2
- 19.74°, I = 48.2
- 19.88°, I = 47.4
- 24.89°, I = 17.3
- 28.55°, I = 22.7
- 28.82°, I = 100.0
- 31.03°, I = 39.0
- 31.20°, I = 34.0
- 40.84°, I = 16.0
- 41.04°, I = 31.3

***

[8]
Diffraction record for Bi2PO6. The powder XRD pattern is simulated, not measured: it uses DFT lattice parameters and positions (PBE) and a wavelength of 1.5418 Å.

Structural model:
abc: 7.0296 7.0529 10.5371
angles: 90.00 108.17 90.00
Sites, in units of the cell vectors:
Bi: 0.1049 0.1231 0.3179
Bi: 0.1049 0.3769 0.8179
Bi: 0.2463 0.6029 0.5260
Bi: 0.2463 0.8971 0.0260
Bi: 0.7537 0.1029 0.9740
Bi: 0.7537 0.3971 0.4740
Bi: 0.8951 0.6231 0.1821
Bi: 0.8951 0.8769 0.6821
P: 0.3696 0.0690 0.6692
P: 0.3696 0.4310 0.1692
P: 0.6304 0.5690 0.8308
P: 0.6304 0.9310 0.3308
O: 0.0089 0.5703 0.6204
O: 0.0089 0.9297 0.1204
O: 0.0784 0.7063 0.8616
O: 0.0784 0.7937 0.3616
O: 0.2281 0.6076 0.1279
O: 0.2281 0.8924 0.6279
O: 0.3151 0.2071 0.5481
O: 0.3151 0.2929 0.0481
O: 0.3334 0.1478 0.7980
O: 0.3334 0.3522 0.2980
O: 0.4058 0.5178 0.7861
O: 0.4058 0.9822 0.2861
O: 0.5942 0.0178 0.7139
O: 0.5942 0.4822 0.2139
O: 0.6666 0.6478 0.7020
O: 0.6666 0.8522 0.2020
O: 0.6849 0.7071 0.9519
O: 0.6849 0.7929 0.4519
O: 0.7719 0.1076 0.3721
O: 0.7719 0.3924 0.8721
O: 0.9216 0.2063 0.6384
O: 0.9216 0.2937 0.1384
O: 0.9911 0.0703 0.8796
O: 0.9911 0.4297 0.3796

Largest 10 diffraction maxima, by angle, 2θ = 10–80°:
- 13.26°, I = 39.8
- 21.77°, I = 21.7
- 27.09°, I = 59.0
- 28.37°, I = 43.7
- 28.72°, I = 100.0
- 29.61°, I = 60.7
- 33.33°, I = 39.8
- 46.47°, I = 26.8
- 48.88°, I = 18.0
- 52.22°, I = 26.4